Y2LuPt: computed XRD peak list (Cu Ka), based on DFT lattice parameters and positions (PBE).
Kinematic intensities with the Lorentz-polarization factor, no thermal factor.

Cell and atoms:
```
data_Y2LuPt
_chemical_formula_sum 'Y2 Lu1 Pt1'
_symmetry_space_group_name_H-M 'P 1'
_symmetry_Int_Tables_number 1
_cell_length_a 3.5698
_cell_length_b 3.5698
_cell_length_c 8.3080
_cell_angle_alpha 90.00
_cell_angle_beta 90.00
_cell_angle_gamma 90.00
loop_
_symmetry_equiv_pos_as_xyz
'x,y,z'
loop_
_atom_site_label
_atom_site_type_symbol
_atom_site_fract_x
_atom_site_fract_y
_atom_site_fract_z
Y1 Y 0.0000 0.0000 0.2000
Y2 Y 0.0000 0.0000 0.8000
Lu1 Lu 0.5000 0.5000 0.5000
Pt1 Pt 0.5000 0.5000 0.0000
```

Principal peaks in the range 2θ = 15–90°, in order of rising 2θ:
| d_spacing | Rel. int. |
| --- | --- |
| 4.154 | 13 |
| 3.570 | 13 |
| 2.707 | 100 |
| 2.524 | 47 |
| 2.157 | 10 |
| 1.795 | 11 |
| 1.785 | 17 |
| 1.604 | 14 |
| 1.490 | 32 |
| 1.354 | 8 |

LuPuRu4: computed XRD peak list (Cu Ka), based on DFT lattice parameters and positions (PBE).
Kinematic intensities with the Lorentz-polarization factor, no thermal factor.

Cell and atoms:
```
data_LuPuRu4
_chemical_formula_sum 'Lu1 Pu1 Ru4'
_symmetry_space_group_name_H-M 'P 1'
_symmetry_Int_Tables_number 1
_cell_length_a 5.3029
_cell_length_b 5.3029
_cell_length_c 5.3029
_cell_angle_alpha 60.00
_cell_angle_beta 60.00
_cell_angle_gamma 60.00
loop_
_symmetry_equiv_pos_as_xyz
'x,y,z'
loop_
_atom_site_label
_atom_site_type_symbol
_atom_site_fract_x
_atom_site_fract_y
_atom_site_fract_z
Lu1 Lu 0.0000 0.0000 0.0000
Pu1 Pu 0.7500 0.7500 0.7500
Ru1 Ru 0.3749 0.3749 0.3749
Ru2 Ru 0.3749 0.3749 0.8753
Ru3 Ru 0.3749 0.8753 0.3749
Ru4 Ru 0.8753 0.3749 0.3749
```

Principal peaks in the range 2θ = 15–90°, in order of rising 2θ:
| d_spacing | Rel. int. |
| --- | --- |
| 4.330 | 5 |
| 2.651 | 53 |
| 2.261 | 100 |
| 2.165 | 21 |
| 1.531 | 20 |
| 1.443 | 32 |
| 1.326 | 25 |
| 1.186 | 9 |
| 1.144 | 12 |
| 1.131 | 7 |

LuPuSb2: computed XRD peak list (Cu Ka), based on DFT lattice parameters and positions (PBE).
Kinematic intensities with the Lorentz-polarization factor, no thermal factor.

Cell and atoms:
```
data_LuPuSb2
_chemical_formula_sum 'Lu1 Pu1 Sb2'
_symmetry_space_group_name_H-M 'P 1'
_symmetry_Int_Tables_number 1
_cell_length_a 3.9613
_cell_length_b 3.9613
_cell_length_c 6.6792
_cell_angle_alpha 90.00
_cell_angle_beta 90.00
_cell_angle_gamma 90.00
loop_
_symmetry_equiv_pos_as_xyz
'x,y,z'
loop_
_atom_site_label
_atom_site_type_symbol
_atom_site_fract_x
_atom_site_fract_y
_atom_site_fract_z
Lu1 Lu 0.0000 0.0000 0.0000
Pu1 Pu 0.0000 0.0000 0.5000
Sb1 Sb 0.5000 0.5000 0.2446
Sb2 Sb 0.5000 0.5000 0.7554
```

Principal peaks in the range 2θ = 15–90°, in order of rising 2θ:
| d_spacing | Rel. int. |
| --- | --- |
| 3.961 | 10 |
| 2.801 | 64 |
| 2.553 | 100 |
| 1.981 | 24 |
| 1.565 | 45 |
| 1.434 | 17 |
| 1.401 | 8 |
| 1.277 | 11 |
| 1.253 | 11 |
| 1.228 | 10 |

LuPuSi4: computed XRD peak list (Cu Ka), based on DFT lattice parameters and positions (PBE).
Kinematic intensities with the Lorentz-polarization factor, no thermal factor.

Cell and atoms:
```
data_LuPuSi4
_chemical_formula_sum 'Lu1 Pu1 Si4'
_symmetry_space_group_name_H-M 'P 1'
_symmetry_Int_Tables_number 1
_cell_length_a 5.2499
_cell_length_b 5.2499
_cell_length_c 5.2499
_cell_angle_alpha 60.00
_cell_angle_beta 60.00
_cell_angle_gamma 60.00
loop_
_symmetry_equiv_pos_as_xyz
'x,y,z'
loop_
_atom_site_label
_atom_site_type_symbol
_atom_site_fract_x
_atom_site_fract_y
_atom_site_fract_z
Lu1 Lu 0.0000 0.0000 0.0000
Pu1 Pu 0.2500 0.2500 0.2500
Si1 Si 0.1240 0.6254 0.6254
Si2 Si 0.6254 0.1240 0.6254
Si3 Si 0.6254 0.6254 0.1240
Si4 Si 0.6254 0.6254 0.6254
```

Principal peaks in the range 2θ = 15–90°, in order of rising 2θ:
| d_spacing | Rel. int. |
| --- | --- |
| 4.287 | 73 |
| 2.625 | 100 |
| 2.239 | 93 |
| 1.703 | 19 |
| 1.516 | 39 |
| 1.429 | 30 |
| 1.312 | 19 |
| 1.255 | 14 |
| 1.174 | 17 |
| 1.132 | 11 |

Which formula does entry 4 have? LuPuSi4